Computed powder diffraction line list of HoPa2TcC4 for Cu Kα, 1.54184 Å, from a cell relaxed with GGA-PBE.

Largest 12 diffraction maxima, in order of falling intensity, 15° ≤ 2θ ≤ 90°:
30.1°, intensity 100, hkl 0 0 4; 37.2°, intensity 68, hkl 1 3 2; 30.3°, intensity 47, hkl 0 4 0; 27.2°, intensity 40, hkl 0 2 3; 62.9°, intensity 23, hkl 0 8 0; 60.4°, intensity 21, hkl 2 4 0; 46.6°, intensity 19, hkl 1 1 5; 34.7°, intensity 19, hkl 1 1 3; 51.8°, intensity 18, hkl 1 3 5; 43.3°, intensity 18, hkl 0 4 4; 41.1°, intensity 17, hkl 0 2 5; 48.7°, intensity 15, hkl 1 5 2

Atomic structure:
Cell: 3.583 11.800 11.841 Å, 90.00 90.00 90.00°
Space group Cmcm (No. 63)
Inequivalent atoms, fractional coordinates:
1 Ho 0.000 0.124 0.250 x4
2 Pa 0.000 0.368 0.043 x8
3 Tc 0.000 0.140 0.750 x4
4 C 0.000 0.000 0.000 x4
5 C 0.000 0.263 0.629 x8
6 C 0.000 0.439 0.250 x4